Structure and simulated powder diffraction line list of BaH4O6 (a cell relaxed with GGA-PBE; CuKα).

Principal peaks in the range 10° ≤ 2θ ≤ 80°, in order of rising 2θ:
| 2θ (°) | d_spacing | I/Imax |
| --- | --- | --- |
| 16.77 | 5.287 | 85 |
| 17.28 | 5.131 | 83 |
| 18.57 | 4.779 | 100 |
| 20.81 | 4.269 | 83 |
| 28.48 | 3.134 | 68 |
| 29.41 | 3.037 | 58 |
| 33.80 | 2.652 | 77 |
| 34.20 | 2.622 | 82 |

Atomic structure:
```
BaH4O6
1.0
5.297 -3.084 0.000
5.297 3.084 0.000
-2.195 0.000 8.550
Ba H O
2 8 12
Direct
0.138 0.862 0.750
0.862 0.138 0.250
0.267 0.402 0.124
0.333 0.414 0.484
0.402 0.267 0.624
0.414 0.333 0.984
0.586 0.667 0.016
0.598 0.733 0.376
0.667 0.586 0.516
0.733 0.598 0.876
0.021 0.349 0.694
0.070 0.195 0.557
0.195 0.070 0.057
0.349 0.021 0.194
0.382 0.438 0.086
0.438 0.382 0.586
0.562 0.618 0.414
0.618 0.562 0.914
0.651 0.979 0.806
0.805 0.930 0.943
0.930 0.805 0.443
0.979 0.651 0.306
```